The following is a computed X-ray powder pattern of TiV2Rh8. It was derived from the GGA-PBE geometry in Alexandria, using Cu Kα (λ = 1.5418 Å).

Top 12 peaks for 15° ≤ 2θ ≤ 90°, most intense first:
Position (°2θ), Rel. int.
42.7, 100
38.9, 40
78.2, 11
42.1, 11
45.7, 10
37.3, 10
43.6, 10
86.2, 9
70.6, 8
33.0, 7
64.3, 7
62.6, 6

Atomic structure:
```
data_TiV2Rh8
_chemical_formula_sum 'Ti1 V2 Rh8'
_cell_length_a 7.2399
_cell_length_b 7.2399
_cell_length_c 7.2399
_cell_angle_alpha 145.96
_cell_angle_beta 61.26
_cell_angle_gamma 130.70
_space_group_name_H-M_alt 'P 1'
_space_group_IT_number 1
_space_group_name_Hall 'P 1'
loop_
_atom_site_label
_atom_site_type_symbol
_atom_site_fract_x
_atom_site_fract_y
_atom_site_fract_z
_atom_site_occupancy
Ti1 Ti 0.0000 0.0000 0.0000 1
V1 V 0.4192 0.0703 0.3489 1
V2 V 0.7215 0.0703 0.6511 1
Rh1 Rh 0.1033 0.4749 0.6285 1
Rh2 Rh 0.1268 0.2824 0.8444 1
Rh3 Rh 0.3236 0.8236 0.5000 1
Rh4 Rh 0.4381 0.2824 0.1556 1
Rh5 Rh 0.5570 0.7631 0.7938 1
Rh6 Rh 0.6021 0.6021 0.0000 1
Rh7 Rh 0.8464 0.4749 0.3715 1
Rh8 Rh 0.9693 0.7631 0.2062 1
```

=====

The following is a computed X-ray powder pattern of Ti6VRh12. It was derived from the GGA-PBE geometry in Alexandria, using Cu Kα (λ = 1.5418 Å).

Top 12 peaks for 15° ≤ 2θ ≤ 90°, most intense first:
Position (°2θ), Rel. int.
40.7, 100
43.6, 69
30.0, 46
45.5, 42
43.1, 39
41.7, 33
33.8, 32
41.0, 29
38.2, 19
77.3, 15
74.2, 13
80.5, 13

Atomic structure:
```
data_Ti6VRh12
_chemical_formula_sum 'Ti6 V1 Rh12'
_cell_length_a 6.6046
_cell_length_b 6.6046
_cell_length_c 6.6046
_cell_angle_alpha 91.03
_cell_angle_beta 91.03
_cell_angle_gamma 91.03
_space_group_name_H-M_alt 'P 1'
_space_group_IT_number 1
_space_group_name_Hall 'P 1'
loop_
_atom_site_label
_atom_site_type_symbol
_atom_site_fract_x
_atom_site_fract_y
_atom_site_fract_z
_atom_site_occupancy
Ti1 Ti 0.1988 0.3813 0.7805 1
Ti2 Ti 0.2195 0.8012 0.6187 1
Ti3 Ti 0.3813 0.7805 0.1988 1
Ti4 Ti 0.6187 0.2195 0.8012 1
Ti5 Ti 0.7805 0.1988 0.3813 1
Ti6 Ti 0.8012 0.6187 0.2195 1
V1 V 0.5000 0.5000 0.5000 1
Rh1 Rh 0.0504 0.9404 0.2937 1
Rh2 Rh 0.0596 0.7063 0.9496 1
Rh3 Rh 0.1536 0.4944 0.3626 1
Rh4 Rh 0.2937 0.0504 0.9404 1
Rh5 Rh 0.3626 0.1536 0.4944 1
Rh6 Rh 0.4944 0.3626 0.1536 1
Rh7 Rh 0.5056 0.6374 0.8464 1
Rh8 Rh 0.6374 0.8464 0.5056 1
Rh9 Rh 0.7063 0.9496 0.0596 1
Rh10 Rh 0.8464 0.5056 0.6374 1
Rh11 Rh 0.9404 0.2937 0.0504 1
Rh12 Rh 0.9496 0.0596 0.7063 1
```